(1)
Structure and calculated X-ray diffraction stick pattern of NaAg2 (a structure optimized by DFT (GGA-PBE); Cu Ka).

Atomic structure:
a = 5.6930 Å, b = 5.6930 Å, c = 5.6930 Å
α = 60.00°, β = 60.00°, γ = 60.00°
Sites, in units of the cell vectors:
Na  0.1250  0.1250  0.1250
Na  0.8750  0.8750  0.8750
Ag  0.0000  0.5000  0.5000
Ag  0.5000  0.0000  0.5000
Ag  0.5000  0.5000  0.0000
Ag  0.5000  0.5000  0.5000

The 10 most intense peaks (15° ≤ 2θ ≤ 90°), in order of rising 2θ:
d 4.648, 2θ = 19.09°, I 96
d 2.427, 2θ = 37.03°, I 100
d 2.324, 2θ = 38.74°, I 88
d 2.013, 2θ = 45.04°, I 34
d 1.847, 2θ = 49.34°, I 23
d 1.549, 2θ = 59.68°, I 31
d 1.423, 2θ = 65.59°, I 32
d 1.361, 2θ = 69.01°, I 16
d 1.228, 2θ = 77.79°, I 10
d 1.214, 2θ = 78.86°, I 30



(2)
Structure and calculated X-ray diffraction stick pattern of LiAgF4 (a structure optimized by DFT (GGA-PBE); Cu Ka).

Atomic structure:
a = 7.8135 Å, b = 5.2161 Å, c = 7.7900 Å
α = 90.00°, β = 102.59°, γ = 90.00°
Sites, in units of the cell vectors:
Li  0.1447  0.2451  0.3294
Li  0.1447  0.2549  0.8294
Li  0.8553  0.7451  0.1706
Li  0.8553  0.7549  0.6706
Ag  0.3114  0.7452  0.1757
Ag  0.3114  0.7548  0.6757
Ag  0.6886  0.2452  0.3243
Ag  0.6886  0.2548  0.8243
F  0.0780  0.5734  0.6937
F  0.0780  0.9266  0.1937
F  0.1901  0.0878  0.5749
F  0.1901  0.4122  0.0749
F  0.3041  0.5783  0.4255
F  0.3041  0.9217  0.9255
F  0.4440  0.0587  0.3004
F  0.4440  0.4413  0.8004
F  0.5560  0.5587  0.1996
F  0.5560  0.9413  0.6996
F  0.6959  0.0783  0.0745
F  0.6959  0.4217  0.5745
F  0.8099  0.5878  0.9251
F  0.8099  0.9122  0.4251
F  0.9220  0.0734  0.8063
F  0.9220  0.4266  0.3063

The 10 most intense peaks (15° ≤ 2θ ≤ 90°), in order of rising 2θ:
d 4.305, 2θ = 20.63°, I 100
d 3.808, 2θ = 23.36°, I 49
d 3.744, 2θ = 23.77°, I 41
d 3.075, 2θ = 29.04°, I 63
d 2.690, 2θ = 33.31°, I 25
d 2.629, 2θ = 34.10°, I 17
d 2.314, 2θ = 38.91°, I 18
d 2.152, 2θ = 41.98°, I 21
d 1.791, 2θ = 51.01°, I 18
d 1.781, 2θ = 51.28°, I 20



(3)
Structure and calculated X-ray diffraction stick pattern of RbTiNbO5 (a structure optimized by DFT (GGA-PBE); Cu Ka).

Atomic structure:
a = 6.5257 Å, b = 3.8566 Å, c = 19.3843 Å
α = 90.00°, β = 90.00°, γ = 90.00°
Sites, in units of the cell vectors:
Rb  0.2034  0.2500  0.1939
Rb  0.2966  0.7500  0.6939
Rb  0.7034  0.2500  0.3061
Rb  0.7966  0.7500  0.8061
Ti  0.1859  0.2500  0.5322
Ti  0.3141  0.7500  0.0322
Ti  0.6859  0.2500  0.9678
Ti  0.8141  0.7500  0.4678
Nb  0.2336  0.2500  0.8941
Nb  0.2664  0.7500  0.3941
Nb  0.7336  0.2500  0.6059
Nb  0.7664  0.7500  0.1059
O  0.0391  0.2500  0.6152
O  0.0632  0.7500  0.0700
O  0.1469  0.7500  0.5096
O  0.1690  0.2500  0.8032
O  0.2404  0.7500  0.9230
O  0.2596  0.2500  0.4230
O  0.3310  0.7500  0.3032
O  0.3531  0.2500  0.0096
O  0.4368  0.2500  0.5700
O  0.4609  0.7500  0.1152
O  0.5391  0.2500  0.8848
O  0.5632  0.7500  0.4300
O  0.6469  0.7500  0.9904
O  0.6690  0.2500  0.6968
O  0.7404  0.7500  0.5770
O  0.7596  0.2500  0.0770
O  0.8310  0.7500  0.1968
O  0.8531  0.2500  0.4904
O  0.9368  0.2500  0.9300
O  0.9609  0.7500  0.3848

The 10 most intense peaks (15° ≤ 2θ ≤ 90°), in order of rising 2θ:
d 3.891, 2θ = 22.86°, I 33
d 3.312, 2θ = 26.92°, I 78
d 3.265, 2θ = 27.31°, I 79
d 2.953, 2θ = 30.27°, I 100
d 2.895, 2θ = 30.88°, I 62
d 2.324, 2θ = 38.74°, I 21
d 1.928, 2θ = 47.13°, I 30
d 1.806, 2θ = 50.54°, I 23
d 1.660, 2θ = 55.34°, I 16
d 1.605, 2θ = 57.42°, I 22



(4)
Structure and calculated X-ray diffraction stick pattern of Ta2Pt3S8 (a structure optimized by DFT (GGA-PBE); Cu Ka).

Atomic structure:
a = 10.5395 Å, b = 14.6912 Å, c = 3.4900 Å
α = 90.00°, β = 90.00°, γ = 90.00°
Sites, in units of the cell vectors:
Ta  0.2064  0.1196  0.0000
Ta  0.2936  0.6196  0.0000
Ta  0.7064  0.3804  0.0000
Ta  0.7936  0.8804  0.0000
Pt  0.0000  0.0000  0.5000
Pt  0.1298  0.7202  0.5000
Pt  0.3702  0.2202  0.5000
Pt  0.5000  0.5000  0.5000
Pt  0.6298  0.7798  0.5000
Pt  0.8702  0.2798  0.5000
S  0.0403  0.1571  0.5000
S  0.0595  0.6228  0.0000
S  0.2239  0.9975  0.5000
S  0.2470  0.2845  0.0000
S  0.2530  0.7845  0.0000
S  0.2761  0.4975  0.5000
S  0.4405  0.1228  0.0000
S  0.4597  0.6571  0.5000
S  0.5403  0.3429  0.5000
S  0.5595  0.8772  0.0000
S  0.7239  0.5025  0.5000
S  0.7470  0.2155  0.0000
S  0.7530  0.7155  0.0000
S  0.7761  0.0025  0.5000
S  0.9405  0.3772  0.0000
S  0.9597  0.8429  0.5000

The 10 most intense peaks (15° ≤ 2θ ≤ 90°), in order of rising 2θ:
d 4.960, 2θ = 17.88°, I 45
d 3.587, 2θ = 24.82°, I 63
d 2.910, 2θ = 30.73°, I 46
d 2.854, 2θ = 31.34°, I 77
d 2.530, 2θ = 35.48°, I 100
d 2.442, 2θ = 36.81°, I 49
d 2.254, 2θ = 40.00°, I 40
d 2.022, 2θ = 44.83°, I 55
d 1.969, 2θ = 46.10°, I 56
d 1.745, 2θ = 52.45°, I 48



(5)
Structure and calculated X-ray diffraction stick pattern of CeFe2P2 (a structure optimized by DFT (GGA-PBE); Cu Ka).

Atomic structure:
a = 5.7551 Å, b = 5.7551 Å, c = 5.7551 Å
α = 141.28°, β = 141.28°, γ = 55.91°
Sites, in units of the cell vectors:
Ce  0.0000  0.0000  0.0000
Fe  0.2500  0.7500  0.5000
Fe  0.7500  0.2500  0.5000
P  0.3584  0.3584  0.0000
P  0.6416  0.6416  0.0000

The 10 most intense peaks (15° ≤ 2θ ≤ 90°), in order of rising 2θ:
d 3.572, 2θ = 24.93°, I 48
d 2.542, 2θ = 35.31°, I 20
d 2.534, 2θ = 35.43°, I 75
d 2.383, 2θ = 37.75°, I 100
d 1.908, 2θ = 47.67°, I 42
d 1.794, 2θ = 50.89°, I 17
d 1.525, 2θ = 60.75°, I 46
d 1.435, 2θ = 64.99°, I 27
d 1.191, 2θ = 80.66°, I 14
d 1.174, 2θ = 82.10°, I 19



(6)
Structure and calculated X-ray diffraction stick pattern of Ba3Y2Br12 (a structure optimized by DFT (GGA-PBE); Cu Ka).

Atomic structure:
a = 9.6258 Å, b = 9.6258 Å, c = 15.9364 Å
α = 100.39°, β = 100.39°, γ = 111.11°
Sites, in units of the cell vectors:
Ba  0.1378  0.8622  0.7500
Ba  0.2209  0.4474  0.9267
Ba  0.4474  0.2209  0.4267
Ba  0.5526  0.7791  0.5733
Ba  0.7791  0.5526  0.0733
Ba  0.8622  0.1378  0.2500
Y  0.0648  0.3312  0.5969
Y  0.3312  0.0648  0.0969
Y  0.6688  0.9352  0.9031
Y  0.9352  0.6688  0.4031
Br  0.0029  0.4967  0.7452
Br  0.0726  0.1535  0.4401
Br  0.1351  0.7390  0.0658
Br  0.1535  0.0726  0.9401
Br  0.1742  0.2156  0.7311
Br  0.1735  0.6321  0.5732
Br  0.2156  0.1742  0.2311
Br  0.2610  0.8648  0.4342
Br  0.3679  0.8265  0.9268
Br  0.4121  0.4280  0.6044
Br  0.4280  0.4121  0.1044
Br  0.4967  0.0029  0.2452
Br  0.5033  0.9971  0.7548
Br  0.5720  0.5879  0.8956
Br  0.5879  0.5720  0.3956
Br  0.6321  0.1735  0.0732
Br  0.7390  0.1352  0.5658
Br  0.7844  0.8258  0.7689
Br  0.8265  0.3679  0.4268
Br  0.8258  0.7844  0.2689
Br  0.8465  0.9274  0.0599
Br  0.8648  0.2610  0.9342
Br  0.9274  0.8465  0.5599
Br  0.9971  0.5033  0.2548

The 10 most intense peaks (15° ≤ 2θ ≤ 90°), in order of rising 2θ:
d 4.489, 2θ = 19.78°, I 44
d 4.252, 2θ = 20.89°, I 48
d 3.208, 2θ = 27.81°, I 11
d 3.165, 2θ = 28.20°, I 16
d 2.722, 2θ = 32.91°, I 100
d 2.688, 2θ = 33.34°, I 65
d 2.517, 2θ = 35.67°, I 30
d 2.380, 2θ = 37.81°, I 10
d 1.826, 2θ = 49.94°, I 11
d 1.558, 2θ = 59.31°, I 12